# BaCaGdBiO6
Theoretical powder diffraction line list, λ = 1.5418 Å (Cu Kα). Input: a cell relaxed with PBE.

The 10 most intense peaks (10° ≤ 2θ ≤ 90°), by angle:
- 2θ = 17.69°, d = 5.013 Å, I = 9.2, (1 1 1)
- 2θ = 20.46°, d = 4.341 Å, I = 22.7, (2 0 0)
- 2θ = 29.09°, d = 3.070 Å, I = 100.0, (2 2 0)
- 2θ = 41.61°, d = 2.171 Å, I = 30.1, (4 0 0)
- 2θ = 46.79°, d = 1.941 Å, I = 10.8, (4 2 0)
- 2θ = 51.57°, d = 1.772 Å, I = 41.8, (4 2 2)
- 2θ = 60.30°, d = 1.535 Å, I = 19.2, (4 4 0)
- 2θ = 68.33°, d = 1.373 Å, I = 18.4, (6 2 0)
- 2θ = 75.93°, d = 1.253 Å, I = 6.4, (4 4 4)
- 2θ = 83.28°, d = 1.160 Å, I = 22.1, (6 4 2)

Cell lengths 8.6821, 8.6821, 8.6821 Å; angles 90.00, 90.00, 90.00 degrees
Space group F-43m (No. 216)
Inequivalent atoms, fractional coordinates:
Ba 0.0000 0.0000 0.0000 [4 per cell]
Ca 0.0000 0.0000 0.5000 [4 per cell]
Gd 0.2500 0.2500 0.7500 [4 per cell]
Bi 0.2500 0.2500 0.2500 [4 per cell]
O 0.0069 0.2500 0.2500 [24 per cell]